Simulated XRD peak list of Pr12Ni6Hg for copper Kα, from a crystal structure in OQMD, relaxed with PBE.

Structure:
a = 10.1060 Å, b = 10.1060 Å, c = 10.1060 Å
α = 90.00°, β = 90.00°, γ = 90.00°
Space group Im-3 (No. 204)
Symmetry-distinct sites (fractional):
Pr: 0.0000 0.3059 0.1855 x24
Ni: 0.0000 0.1214 0.5000 x12
Hg: 0.0000 0.0000 0.0000 x2

Principal peaks in the range 10° ≤ 2θ ≤ 90°, low angle first:
2θ/deg  d_spacing  I (rel.)  h k l
27.92  3.196  41  3 0 1
30.65  2.917  38  2 2 2
33.17  2.701  100  3 1 2
35.53  2.527  14  4 0 0
45.78  1.982  24  5 0 1
52.82  1.733  31  5 3 0
54.48  1.684  14  6 0 0
56.10  1.639  34  5 2 3
65.29  1.429  18  5 3 4
79.32  1.208  12  6 5 3
80.67  1.191  16  8 2 2
82.02  1.175  15  7 0 5

***

Simulated XRD peak list of GaCuTe2 for copper Kα, from a crystal structure in OQMD, relaxed with PBE.

Structure:
a = 6.0932 Å, b = 6.0932 Å, c = 12.1189 Å
α = 90.00°, β = 90.00°, γ = 90.00°
Space group I-4 (No. 82)
Symmetry-distinct sites (fractional):
Ga: 0.0000 0.0000 0.0000 x2
Ga: 0.0000 0.5000 0.2500 x2
Cu: 0.0000 0.0000 0.5000 x2
Cu: 0.0000 0.5000 0.7500 x2
Te: 0.2382 0.2507 0.6246 x8

Principal peaks in the range 10° ≤ 2θ ≤ 90°, low angle first:
2θ/deg  d_spacing  I (rel.)  h k l
25.36  3.511  100  1 1 2
29.32  3.047  4  2 0 0
41.94  2.154  24  2 2 0
42.06  2.148  48  2 0 4
49.65  1.836  31  3 1 2
49.86  1.829  16  1 1 6
60.81  1.523  8  4 0 0
66.96  1.397  6  3 3 2
67.14  1.394  12  3 1 6
76.69  1.243  15  4 2 4
76.94  1.239  8  2 2 8
82.23  1.172  7  5 1 2

***

Simulated XRD peak list of Ta4AsPN2 for copper Kα, from a crystal structure in OQMD, relaxed with PBE.

Structure:
a = 3.2622 Å, b = 3.2622 Å, c = 11.8129 Å
α = 90.00°, β = 90.00°, γ = 120.00°
Space group P-6m2 (No. 187)
Symmetry-distinct sites (fractional):
Ta: 0.0000 0.0000 0.1442 x2
Ta: 0.6667 0.3333 0.3374 x2
As: 0.0000 0.0000 0.5000 x1
P: 0.6667 0.3333 0.0000 x1
N: 0.3333 0.6667 0.2456 x2

Principal peaks in the range 10° ≤ 2θ ≤ 90°, low angle first:
2θ/deg  d_spacing  I (rel.)  h k l
15.00  5.906  10  0 0 2
30.26  2.953  11  0 0 4
31.67  2.825  28  1 0 0
32.59  2.748  23  1 0 1
39.25  2.295  100  1 0 3
44.37  2.041  9  1 0 4
46.10  1.969  10  0 0 6
56.41  1.631  27  1 1 0
57.01  1.615  10  1 0 6
64.30  1.449  9  1 0 7
70.87  1.330  18  2 0 3
75.72  1.256  15  1 1 6